Calculated powder X-ray diffraction pattern of ZnN for copper Kα, from a crystal structure in the Materials Project, relaxed with GGA-PBE.
No peak broadening, texture or thermal motion is included.

Most intense lines, 5° ≤ 2θ ≤ 70°, in order of rising 2θ:
2θ 36.06, I 97.5
2θ 41.88, I 100.0
2θ 60.72, I 59.8

Structural model:
a = 3.050 Å, b = 3.050 Å, c = 3.050 Å
α = 60.00°, β = 60.00°, γ = 60.00°
Element x y z (fractional)
Zn  0.000  0.000  0.000
N  0.500  0.500  0.500